# 1
The following is a theoretical powder diffractogram of PrSm3Te6. It was derived from a crystal structure in Alexandria, relaxed with PBE, using a wavelength of 1.5418 Å.

Structural model:
```
data_PrSm3Te6
_cell_length_a 12.678
_cell_length_b 4.460
_cell_length_c 13.059
_cell_angle_alpha 90.00
_cell_angle_beta 109.22
_cell_angle_gamma 90.00
_symmetry_space_group_name_H-M 'P 1 21/m 1'
_symmetry_Int_Tables_number 11
_symmetry_space_group_name_Hall '-P 2yb'
loop_
_atom_site_label
_atom_site_type_symbol
_atom_site_fract_x
_atom_site_fract_y
_atom_site_fract_z
_atom_site_occupancy
Pr1 Pr 0.046 0.250 0.195 1
Sm1 Sm 0.156 0.250 0.581 1
Sm2 Sm 0.318 0.750 0.998 1
Sm3 Sm 0.433 0.250 0.333 1
Te1 Te 0.086 0.750 0.401 1
Te2 Te 0.114 0.250 0.968 1
Te3 Te 0.193 0.750 0.751 1
Te4 Te 0.254 0.750 0.221 1
Te5 Te 0.393 0.250 0.561 1
Te6 Te 0.485 0.250 0.118 1
```

Largest 10 diffraction maxima, by angle, 5 to 70 degrees two-theta:
2θ/deg, Rel. int., h k l
23.2, 37, 1 1 1
27.3, 100, 2 1 1
27.9, 62, 2 0 -4
29.6, 35, 0 1 3
30.0, 71, 3 1 0
36.5, 37, 0 0 5
36.8, 73, 4 1 -3
38.2, 37, 1 1 4
40.4, 70, 0 2 0
40.7, 35, 5 0 1

***

# 2
The following is a theoretical powder diffractogram of HoGa4Rh2. It was derived from a crystal structure in Alexandria, relaxed with PBE, using a wavelength of 1.5418 Å.

Structural model:
```
data_HoGa4Rh2
_cell_length_a 16.548
_cell_length_b 4.170
_cell_length_c 6.796
_cell_angle_alpha 90.00
_cell_angle_beta 90.00
_cell_angle_gamma 90.00
_symmetry_space_group_name_H-M 'P n m a'
_symmetry_Int_Tables_number 62
_symmetry_space_group_name_Hall '-P 2ac 2n'
loop_
_atom_site_label
_atom_site_type_symbol
_atom_site_fract_x
_atom_site_fract_y
_atom_site_fract_z
_atom_site_occupancy
Ho1 Ho 0.142 0.250 0.066 1
Ga1 Ga 0.024 0.750 0.140 1
Ga2 Ga 0.054 0.250 0.496 1
Ga3 Ga 0.175 0.750 0.374 1
Ga4 Ga 0.209 0.750 0.811 1
Rh1 Rh 0.059 0.750 0.759 1
Rh2 Rh 0.195 0.250 0.601 1
```

Largest 10 diffraction maxima, by angle, 5 to 70 degrees two-theta:
2θ/deg, Rel. int., h k l
35.1, 18, 6 0 1
35.8, 66, 2 1 2
37.1, 64, 5 1 1
37.8, 100, 3 1 2
39.2, 15, 6 1 0
40.4, 18, 7 0 1
41.3, 15, 2 0 3
43.4, 57, 0 2 0
50.9, 12, 4 1 3
65.0, 22, 8 1 3

***

Copy entry 2 word for word.
The following is a theoretical powder diffractogram of HoGa4Rh2. It was derived from a crystal structure in Alexandria, relaxed with PBE, using a wavelength of 1.5418 Å.

Structural model:
```
data_HoGa4Rh2
_cell_length_a 16.548
_cell_length_b 4.170
_cell_length_c 6.796
_cell_angle_alpha 90.00
_cell_angle_beta 90.00
_cell_angle_gamma 90.00
_symmetry_space_group_name_H-M 'P n m a'
_symmetry_Int_Tables_number 62
_symmetry_space_group_name_Hall '-P 2ac 2n'
loop_
_atom_site_label
_atom_site_type_symbol
_atom_site_fract_x
_atom_site_fract_y
_atom_site_fract_z
_atom_site_occupancy
Ho1 Ho 0.142 0.250 0.066 1
Ga1 Ga 0.024 0.750 0.140 1
Ga2 Ga 0.054 0.250 0.496 1
Ga3 Ga 0.175 0.750 0.374 1
Ga4 Ga 0.209 0.750 0.811 1
Rh1 Rh 0.059 0.750 0.759 1
Rh2 Rh 0.195 0.250 0.601 1
```

Largest 10 diffraction maxima, by angle, 5 to 70 degrees two-theta:
2θ/deg, Rel. int., h k l
35.1, 18, 6 0 1
35.8, 66, 2 1 2
37.1, 64, 5 1 1
37.8, 100, 3 1 2
39.2, 15, 6 1 0
40.4, 18, 7 0 1
41.3, 15, 2 0 3
43.4, 57, 0 2 0
50.9, 12, 4 1 3
65.0, 22, 8 1 3